No. 1
Simulated X-ray diffraction stick pattern
Compound: Ba6Sm3AlCu8O20
Radiation: λ = 1.5418 Å (Cu Kα)
Structure: a crystal structure in Alexandria, relaxed with PBE

Structure:
```
data_Ba6Sm3AlCu8O20
_chemical_formula_sum 'Ba6 Sm3 Al1 Cu8 O20'
_cell_length_a 5.539
_cell_length_b 8.705
_cell_length_c 12.709
_cell_angle_alpha 74.68
_cell_angle_beta 77.82
_cell_angle_gamma 72.68
_space_group_name_H-M_alt 'P -1'
_space_group_IT_number 2
loop_
_space_group_symop_operation_xyz
'x,y,z'
'-x,-y,-z'
loop_
_atom_site_label
_atom_site_fract_x
_atom_site_fract_y
_atom_site_fract_z
_atom_site_occupancy
Ba1 0.068 0.069 0.308 1
Ba2 0.262 0.266 0.693 1
Ba3 0.389 0.397 0.308 1
Sm1 0.167 0.166 0.000 1
Sm2 0.500 0.500 0.000 1
Al1 0.500 0.000 0.500 1
Cu1 0.048 0.544 0.862 1
Cu2 0.132 0.689 0.499 1
Cu3 0.288 0.788 0.139 1
Cu4 0.378 0.878 0.861 1
O1 0.040 0.041 0.876 1
O2 0.125 0.627 0.123 1
O3 0.158 0.602 0.646 1
O4 0.208 0.172 0.485 1
O5 0.208 0.707 0.877 1
O6 0.233 0.719 0.349 1
O7 0.290 0.293 0.127 1
O8 0.374 0.372 0.878 1
O9 0.430 0.955 0.649 1
O10 0.459 0.961 0.123 1
```

Principal peaks in the range 10° ≤ 2θ ≤ 80°, by intensity:
(2 1 1), 32.32°, 2.770 Å, I = 100
(1 2 4), 32.10°, 2.788 Å, I = 49
(1 2 -2), 31.88°, 2.807 Å, I = 47
(-1 1 3), 31.68°, 2.824 Å, I = 45
(1 -1 3), 31.57°, 2.834 Å, I = 44
(2 -2 0), 45.83°, 1.980 Å, I = 29
(2 4 2), 46.89°, 1.938 Å, I = 28
(3 0 4), 56.99°, 1.616 Å, I = 17
(0 6 2), 67.66°, 1.385 Å, I = 17
(2 1 4), 39.44°, 2.285 Å, I = 16

---

No. 2
Simulated X-ray diffraction stick pattern
Compound: PdI2Br6
Radiation: λ = 1.5418 Å (Cu Kα)
Structure: a crystal structure in Alexandria, relaxed with PBE

Structure:
```
data_PdI2Br6
_chemical_formula_sum 'Pd4 I8 Br24'
_cell_length_a 12.345
_cell_length_b 19.411
_cell_length_c 8.513
_cell_angle_alpha 90.00
_cell_angle_beta 128.06
_cell_angle_gamma 90.00
_space_group_name_H-M_alt 'C 1 2/c 1'
_space_group_IT_number 15
loop_
_space_group_symop_operation_xyz
'x,y,z'
'-x,-y,-z'
'-x,y,-z+1/2'
'x,-y,z+1/2'
'x+1/2,y+1/2,z'
'-x+1/2,-y+1/2,-z'
'-x+1/2,y+1/2,-z+1/2'
'x+1/2,-y+1/2,z+1/2'
loop_
_atom_site_label
_atom_site_fract_x
_atom_site_fract_y
_atom_site_fract_z
_atom_site_occupancy
Pd1 0.000 0.036 0.250 1
I1 0.075 0.174 0.974 1
Br1 0.006 0.294 0.503 1
Br2 0.179 0.124 0.392 1
Br3 0.185 0.051 0.935 1
```

Principal peaks in the range 10° ≤ 2θ ≤ 80°, by intensity:
(1 1 0), 10.18°, 8.691 Å, I = 100
(2 2 -2), 22.90°, 3.884 Å, I = 36
(3 5 -1), 31.89°, 2.806 Å, I = 24
(2 2 -3), 33.51°, 2.674 Å, I = 14
(0 0 2), 26.60°, 3.351 Å, I = 14
(4 4 -1), 35.73°, 2.513 Å, I = 14
(2 2 0), 20.44°, 4.345 Å, I = 13
(3 1 -1), 22.39°, 3.972 Å, I = 13
(1 1 -2), 22.57°, 3.939 Å, I = 12
(2 4 -1), 23.40°, 3.801 Å, I = 11

---

No. 3
Simulated X-ray diffraction stick pattern
Compound: La3NdY3Se8
Radiation: λ = 1.5418 Å (Cu Kα)
Structure: a crystal structure in Alexandria, relaxed with PBE

Structure:
```
data_La3NdY3Se8
_chemical_formula_sum 'La9 Nd3 Y9 Se24'
_cell_length_a 8.3231
_cell_length_b 8.3231
_cell_length_c 20.7837
_cell_angle_alpha 90.00
_cell_angle_beta 90.00
_cell_angle_gamma 120.00
_space_group_name_H-M_alt 'R -3 m'
_space_group_IT_number 166
_space_group_name_Hall '-R 3 2"'
loop_
_atom_site_label
_atom_site_fract_x
_atom_site_fract_y
_atom_site_fract_z
_atom_site_occupancy
La1 0.0000 0.5000 0.0000 1
Nd1 0.0000 0.0000 0.5000 1
Y1 0.0000 0.5000 0.5000 1
Se1 0.0000 0.0000 0.2444 1
Se2 0.0128 0.5064 0.7525 1
```

Principal peaks in the range 10° ≤ 2θ ≤ 80°, by intensity:
(0 2 4), 30.18°, 2.961 Å, I = 100
(2 0 8), 42.91°, 2.107 Å, I = 37
(2 2 0), 43.49°, 2.081 Å, I = 36
(4 0 4), 53.85°, 1.703 Å, I = 19
(2 2 12), 70.78°, 1.331 Å, I = 16
(2 4 4), 71.62°, 1.318 Å, I = 16
(4 2 8), 79.44°, 1.206 Å, I = 12
(0 4 8), 62.75°, 1.481 Å, I = 12
(1 0 1), 13.00°, 6.810 Å, I = 9
(0 0 12), 52.86°, 1.732 Å, I = 7

---

No. 4
Simulated X-ray diffraction stick pattern
Compound: Mg8Tl2Zn
Radiation: λ = 1.5418 Å (Cu Kα)
Structure: a crystal structure in Alexandria, relaxed with PBE

Structure:
```
data_Mg8Tl2Zn
_chemical_formula_sum 'Mg16 Tl4 Zn2'
_cell_length_a 15.895
_cell_length_b 4.892
_cell_length_c 7.023
_cell_angle_alpha 90.00
_cell_angle_beta 113.85
_cell_angle_gamma 90.00
_space_group_name_H-M_alt 'C 1 2/m 1'
_space_group_IT_number 12
loop_
_space_group_symop_operation_xyz
'x,y,z'
'-x,-y,-z'
'-x,y,-z'
'x,-y,z'
'x+1/2,y+1/2,z'
'-x+1/2,-y+1/2,-z'
'-x+1/2,y+1/2,-z'
'x+1/2,-y+1/2,z'
loop_
_atom_site_label
_atom_site_fract_x
_atom_site_fract_y
_atom_site_fract_z
_atom_site_occupancy
Mg1 0.017 0.000 0.280 1
Mg2 0.104 0.500 0.921 1
Mg3 0.155 0.500 0.413 1
Mg4 0.178 0.000 0.727 1
Tl1 0.184 0.000 0.171 1
Zn1 0.000 0.500 0.500 1
```

Principal peaks in the range 10° ≤ 2θ ≤ 80°, by intensity:
(1 1 2), 35.99°, 2.495 Å, I = 100
(1 1 -1), 22.15°, 4.013 Å, I = 91
(5 1 -2), 37.11°, 2.422 Å, I = 66
(3 1 0), 25.88°, 3.443 Å, I = 58
(2 0 1), 21.86°, 4.066 Å, I = 50
(4 0 -1), 22.72°, 3.913 Å, I = 46
(2 0 0), 12.18°, 7.269 Å, I = 37
(0 2 0), 36.75°, 2.446 Å, I = 37
(2 2 1), 43.16°, 2.096 Å, I = 31
(4 2 -1), 43.66°, 2.073 Å, I = 29